Record 1
# Dy3TmMg3
Simulated PXRD pattern, CuKα. Input: a crystal structure in Alexandria, relaxed with PBE.
No peak broadening, texture or thermal motion is included.

Cell and atoms:
Unit cell a=7.684 b=7.684 c=6.933 alpha=90.02 beta=90.02 gamma=92.53
Fractional coordinates of all 14 atoms:
Dy (0.000, 0.000, 0.246)
Dy (0.000, 0.000, 0.754)
Dy (0.000, 0.500, 0.252)
Dy (0.000, 0.500, 0.748)
Dy (0.500, 0.000, 0.252)
Dy (0.500, 0.000, 0.748)
Tm (0.309, 0.309, 0.000)
Tm (0.691, 0.691, 0.000)
Mg (0.256, 0.744, 0.000)
Mg (0.276, 0.276, 0.500)
Mg (0.316, 0.684, 0.500)
Mg (0.684, 0.316, 0.500)
Mg (0.724, 0.724, 0.500)
Mg (0.744, 0.256, 0.000)

Most intense lines, 10 to 90 degrees two-theta, sorted by position:
2θ = 16.7°, d 5.312, I = 21.3; 2θ = 23.2°, d 3.838, I = 25.2; 2θ = 26.4°, d 3.374, I = 21.5; 2θ = 28.2°, d 3.159, I = 20.9; 2θ = 30.4°, d 2.941, I = 14.9; 2θ = 32.2°, d 2.776, I = 32.2; 2θ = 33.7°, d 2.656, I = 18.8; 2θ = 34.9°, d 2.573, I = 100.0; 2θ = 36.5°, d 2.461, I = 15.1; 2θ = 59.2°, d 1.561, I = 18.8

Record 2
# DyTm4Mg3
Simulated PXRD pattern, CuKα. Input: a crystal structure in Alexandria, relaxed with PBE.
No peak broadening, texture or thermal motion is included.

Cell and atoms:
Unit cell a=3.808 b=5.357 c=10.843 alpha=90.00 beta=90.00 gamma=90.00
Fractional coordinates of all 8 atoms:
Dy (0.000, 0.000, 0.000)
Tm (0.500, 0.000, 0.261)
Tm (0.500, 0.000, 0.739)
Tm (0.500, 0.500, 0.000)
Tm (0.500, 0.500, 0.500)
Mg (0.000, 0.000, 0.500)
Mg (0.000, 0.500, 0.252)
Mg (0.000, 0.500, 0.748)

Most intense lines, 10 to 90 degrees two-theta, sorted by position:
2θ = 23.4°, d 3.810, I = 41.3; 2θ = 33.0°, d 2.711, I = 24.9; 2θ = 33.3°, d 2.693, I = 100.0; 2θ = 33.5°, d 2.679, I = 24.8; 2θ = 47.7°, d 1.905, I = 27.0; 2θ = 53.8°, d 1.703, I = 11.5; 2θ = 59.2°, d 1.562, I = 18.1; 2θ = 59.7°, d 1.549, I = 19.3; 2θ = 69.8°, d 1.347, I = 11.4; 2θ = 79.6°, d 1.205, I = 15.9

Record 3
# Dy2TmMg5
Simulated PXRD pattern, CuKα. Input: a crystal structure in Alexandria, relaxed with PBE.
No peak broadening, texture or thermal motion is included.

Cell and atoms:
Unit cell a=8.416 b=8.416 c=8.416 alpha=143.78 beta=143.78 gamma=52.16
Fractional coordinates of all 8 atoms:
Dy (0.245, 0.245, 0.000)
Dy (0.755, 0.755, 0.000)
Tm (0.500, 0.500, 0.000)
Mg (0.000, 0.000, 0.000)
Mg (0.118, 0.618, 0.500)
Mg (0.382, 0.882, 0.500)
Mg (0.618, 0.118, 0.500)
Mg (0.882, 0.382, 0.500)

Most intense lines, 10 to 90 degrees two-theta, sorted by position:
2θ = 17.9°, d 4.945, I = 21.6; 2θ = 23.5°, d 3.779, I = 27.9; 2θ = 24.1°, d 3.700, I = 53.4; 2θ = 24.5°, d 3.630, I = 18.2; 2θ = 33.9°, d 2.644, I = 100.0; 2θ = 34.3°, d 2.616, I = 51.3; 2θ = 42.0°, d 2.151, I = 24.9; 2θ = 49.3°, d 1.850, I = 19.2; 2θ = 60.4°, d 1.532, I = 18.0; 2θ = 61.1°, d 1.516, I = 36.2

Please write out number 2 again, unchanged.
# DyTm4Mg3
Simulated PXRD pattern, CuKα. Input: a crystal structure in Alexandria, relaxed with PBE.
No peak broadening, texture or thermal motion is included.

Cell and atoms:
Unit cell a=3.808 b=5.357 c=10.843 alpha=90.00 beta=90.00 gamma=90.00
Fractional coordinates of all 8 atoms:
Dy (0.000, 0.000, 0.000)
Tm (0.500, 0.000, 0.261)
Tm (0.500, 0.000, 0.739)
Tm (0.500, 0.500, 0.000)
Tm (0.500, 0.500, 0.500)
Mg (0.000, 0.000, 0.500)
Mg (0.000, 0.500, 0.252)
Mg (0.000, 0.500, 0.748)

Most intense lines, 10 to 90 degrees two-theta, sorted by position:
2θ = 23.4°, d 3.810, I = 41.3; 2θ = 33.0°, d 2.711, I = 24.9; 2θ = 33.3°, d 2.693, I = 100.0; 2θ = 33.5°, d 2.679, I = 24.8; 2θ = 47.7°, d 1.905, I = 27.0; 2θ = 53.8°, d 1.703, I = 11.5; 2θ = 59.2°, d 1.562, I = 18.1; 2θ = 59.7°, d 1.549, I = 19.3; 2θ = 69.8°, d 1.347, I = 11.4; 2θ = 79.6°, d 1.205, I = 15.9